This entry pairs a crystal structure of Ca2Al3O8 with its simulated X-ray diffraction stick pattern. Radiation: CuKα. Structure: a DFT-relaxed cell (GGA-PBE, Alexandria).
Intensities are scaled so that the largest is 100.

Structure:
```
Ca2Al3O8
1.0
-4.5279 4.5279 4.5279
4.5279 -4.5279 4.5279
4.5279 4.5279 -4.5279
Ca Al O
4 6 16
Direct
0.0000 0.0000 0.6560
0.0000 0.6560 0.0000
0.3440 0.3440 0.3440
0.6560 0.0000 0.0000
0.2500 0.5000 0.7500
0.2500 0.7500 0.5000
0.5000 0.2500 0.7500
0.5000 0.7500 0.2500
0.7500 0.2500 0.5000
0.7500 0.5000 0.2500
0.0000 0.0000 0.1675
0.0000 0.1675 0.0000
0.0000 0.4350 0.7228
0.0000 0.7228 0.4350
0.1675 0.0000 0.0000
0.2772 0.2772 0.7121
0.2772 0.7121 0.2772
0.2879 0.5650 0.5650
0.4350 0.0000 0.7228
0.4350 0.7228 0.0000
0.5650 0.2879 0.5650
0.5650 0.5650 0.2879
0.7121 0.2772 0.2772
0.7228 0.0000 0.4350
0.7228 0.4350 0.0000
0.8325 0.8325 0.8325
```

Largest 6 diffraction maxima, low angle first, 2θ = 15–90°:
2θ/deg, I_rel
24.1, 100
31.2, 36
34.3, 27
42.3, 54
49.3, 18
59.5, 22